(1)
# CeMg5Ir2
Simulated XRD peak list, Cu Kα X-rays. Input: DFT lattice parameters and positions (GGA-PBE).
Peak positions follow from Bragg's law for the DFT cell and can differ from measured ones.

Structure:
```
data_CeMg5Ir2
_space_group_name_H-M_alt 'P 1'
_space_group_IT_number 1
_cell_length_a 6.6986
_cell_length_b 6.6986
_cell_length_c 6.6986
_cell_angle_alpha 144.42
_cell_angle_beta 101.88
_cell_angle_gamma 88.90
loop_
_space_group_symop_operation_xyz
'x,y,z'
loop_
_atom_site_label
_atom_site_type_symbol
_atom_site_fract_x
_atom_site_fract_y
_atom_site_fract_z
Ce1 Ce 0.0000 0.0000 0.0000
Mg1 Mg 0.1524 0.3330 0.8193
Mg2 Mg 0.4863 0.6670 0.8193
Mg3 Mg 0.5000 0.0000 0.5000
Mg4 Mg 0.5137 0.3330 0.1807
Mg5 Mg 0.8476 0.6670 0.1807
Ir1 Ir 0.2144 0.7144 0.5000
Ir2 Ir 0.7856 0.2856 0.5000
```

Main lines, most intense first (5° ≤ 2θ ≤ 70°):
2θ/deg, intensity
30.64, 100
21.05, 76
43.37, 53
13.99, 51
35.70, 45
41.81, 26
18.56, 23
24.16, 23
44.26, 21
42.85, 20

=====

(2)
# CeMg3Ir8
Simulated XRD peak list, Cu Kα X-rays. Input: DFT lattice parameters and positions (GGA-PBE).
Peak positions follow from Bragg's law for the DFT cell and can differ from measured ones.

Structure:
```
data_CeMg3Ir8
_space_group_name_H-M_alt 'P 1'
_space_group_IT_number 1
_cell_length_a 9.1522
_cell_length_b 9.1522
_cell_length_c 9.1522
_cell_angle_alpha 33.45
_cell_angle_beta 33.45
_cell_angle_gamma 33.45
loop_
_space_group_symop_operation_xyz
'x,y,z'
loop_
_atom_site_label
_atom_site_type_symbol
_atom_site_fract_x
_atom_site_fract_y
_atom_site_fract_z
Ce1 Ce 0.0000 0.0000 0.0000
Mg1 Mg 0.1294 0.1294 0.1294
Mg2 Mg 0.4968 0.4968 0.4968
Mg3 Mg 0.6154 0.6154 0.6154
Ir1 Ir 0.0615 0.0615 0.5605
Ir2 Ir 0.0615 0.5605 0.0615
Ir3 Ir 0.0625 0.5630 0.5630
Ir4 Ir 0.3116 0.3116 0.3116
Ir5 Ir 0.5605 0.0615 0.0615
Ir6 Ir 0.5630 0.0625 0.5630
Ir7 Ir 0.5630 0.5630 0.0625
Ir8 Ir 0.8121 0.8121 0.8121
```

Main lines, most intense first (5° ≤ 2θ ≤ 70°):
2θ/deg, intensity
20.63, 100
40.08, 94
42.00, 77
48.85, 37
40.14, 32
41.86, 25
64.96, 23
65.03, 15
53.50, 13
53.63, 12

=====

(3)
# Ce3MgIr4
Simulated XRD peak list, Cu Kα X-rays. Input: DFT lattice parameters and positions (GGA-PBE).
Peak positions follow from Bragg's law for the DFT cell and can differ from measured ones.

Structure:
```
data_Ce3MgIr4
_space_group_name_H-M_alt 'P 1'
_space_group_IT_number 1
_cell_length_a 6.5747
_cell_length_b 6.5747
_cell_length_c 6.5747
_cell_angle_alpha 131.76
_cell_angle_beta 85.67
_cell_angle_gamma 114.18
loop_
_space_group_symop_operation_xyz
'x,y,z'
loop_
_atom_site_label
_atom_site_type_symbol
_atom_site_fract_x
_atom_site_fract_y
_atom_site_fract_z
Ce1 Ce 0.0000 0.0000 0.0000
Ce2 Ce 0.4023 0.6489 0.7534
Ce3 Ce 0.8955 0.6489 0.2466
Mg1 Mg 0.6619 0.1619 0.5000
Ir1 Ir 0.0507 0.2949 0.7558
Ir2 Ir 0.3210 0.0611 0.7401
Ir3 Ir 0.3210 0.5808 0.2599
Ir4 Ir 0.5391 0.2949 0.2442
```

Main lines, most intense first (5° ≤ 2θ ≤ 70°):
2θ/deg, intensity
15.44, 100
27.82, 96
37.30, 77
46.29, 76
38.35, 75
45.76, 70
24.93, 46
36.94, 45
41.47, 42
31.16, 34